Structure and calculated powder XRD pattern of TbCo3B2 (a crystal structure in Alexandria, relaxed with GGA-PBE; Cu Kα, 1.54184 Å).
Lines closer than 0.1° are merged.

Principal peaks in the range 2θ from 5° to 70°, low angle first:
2θ 20.49, I = 330, hkl 1 0 0
2θ 35.88, I = 141, hkl 1 1 0
2θ 36.23, I = 1000, hkl 1 0 1
2θ 41.67, I = 848, hkl 2 0 0
2θ 47.15, I = 573, hkl 1 1 1
2θ 64.72, I = 361, hkl 2 1 1

Unit cell a=5.0054 b=5.0054 c=3.0224 alpha=90.00 beta=90.00 gamma=120.00
Atoms (fractional coordinates):
1 Tb 0.0000 0.0000 0.0000
2 Co 0.0000 0.5000 0.5000
3 Co 0.5000 0.0000 0.5000
4 Co 0.5000 0.5000 0.5000
5 B 0.3333 0.6667 0.0000
6 B 0.6667 0.3333 0.0000